[1]
Structure and theoretical powder diffraction line list of PmAg2Pd4 (a structure optimized by DFT (GGA-PBE); copper Kα).

Structure:
abc: 5.567 5.567 5.428
angles: 118.93 118.93 76.08
Atoms (fractional coordinates):
Pm1 0.000 0.000 0.000
Ag1 0.500 0.500 0.249
Ag2 0.500 0.500 0.751
Pd1 0.000 0.397 0.698
Pd2 0.000 0.603 0.302
Pd3 0.397 0.000 0.698
Pd4 0.603 0.000 0.302

Largest 8 diffraction maxima, low angle first, 10 to 90 degrees two-theta:
- 33.00 deg, d = 2.714 Å, rel. 20
- 33.29 deg, d = 2.691 Å, rel. 21
- 33.49 deg, d = 2.676 Å, rel. 62
- 36.90 deg, d = 2.436 Å, rel. 100
- 37.88 deg, d = 2.375 Å, rel. 38
- 38.02 deg, d = 2.367 Å, rel. 38
- 42.47 deg, d = 2.128 Å, rel. 63
- 42.91 deg, d = 2.108 Å, rel. 40

***

[2]
Structure and theoretical powder diffraction line list of Mg3Al2Ga9 (a structure optimized by DFT (GGA-PBE); copper Kα).

Structure:
abc: 8.299 8.299 8.299
angles: 150.76 103.46 83.96
Atoms (fractional coordinates):
Mg1 0.000 0.000 0.000
Mg2 0.290 0.290 0.000
Mg3 0.710 0.710 0.000
Al1 0.327 0.500 0.827
Al2 0.673 0.500 0.173
Ga1 0.016 0.642 0.374
Ga2 0.141 0.848 0.292
Ga3 0.268 0.642 0.626
Ga4 0.444 0.152 0.292
Ga5 0.500 0.000 0.500
Ga6 0.556 0.848 0.708
Ga7 0.732 0.358 0.374
Ga8 0.859 0.152 0.708
Ga9 0.984 0.358 0.626

Largest 8 diffraction maxima, low angle first, 10 to 90 degrees two-theta:
- 22.93 deg, d = 3.879 Å, rel. 58
- 33.83 deg, d = 2.649 Å, rel. 77
- 35.21 deg, d = 2.549 Å, rel. 100
- 36.89 deg, d = 2.437 Å, rel. 36
- 37.24 deg, d = 2.414 Å, rel. 34
- 41.88 deg, d = 2.157 Å, rel. 52
- 43.19 deg, d = 2.094 Å, rel. 53
- 45.08 deg, d = 2.011 Å, rel. 55

***

[3]
Structure and theoretical powder diffraction line list of GaSbTe2Br (a structure optimized by DFT (GGA-PBE); copper Kα).

Structure:
abc: 5.344 5.344 5.519
angles: 90.00 90.00 90.00
Atoms (fractional coordinates):
Ga1 0.000 0.000 0.000
Sb1 0.000 0.000 0.500
Te1 0.000 0.500 0.000
Te2 0.500 0.000 0.000
Br1 0.500 0.500 0.500

Largest 8 diffraction maxima, low angle first, 10 to 90 degrees two-theta:
- 16.59 deg, d = 5.344 Å, rel. 16
- 28.63 deg, d = 3.118 Å, rel. 100
- 32.45 deg, d = 2.759 Å, rel. 35
- 33.54 deg, d = 2.672 Å, rel. 63
- 47.36 deg, d = 1.920 Å, rel. 48
- 48.16 deg, d = 1.890 Å, rel. 23
- 56.99 deg, d = 1.616 Å, rel. 28
- 59.27 deg, d = 1.559 Å, rel. 24

***

[4]
Structure and theoretical powder diffraction line list of HfTaNO3 (a structure optimized by DFT (GGA-PBE); copper Kα).

Structure:
abc: 3.517 3.592 5.293
angles: 90.00 90.00 90.00
Atoms (fractional coordinates):
Hf1 0.000 0.000 0.000
Ta1 0.500 0.500 0.524
N1 0.500 0.000 0.692
O1 0.000 0.500 0.338
O2 0.000 0.500 0.822
O3 0.500 0.000 0.201

Largest 8 diffraction maxima, low angle first, 10 to 90 degrees two-theta:
- 30.07 deg, d = 2.972 Å, rel. 100
- 30.52 deg, d = 2.929 Å, rel. 94
- 33.87 deg, d = 2.646 Å, rel. 27
- 35.73 deg, d = 2.513 Å, rel. 43
- 50.06 deg, d = 1.822 Å, rel. 59
- 50.84 deg, d = 1.796 Å, rel. 16
- 60.47 deg, d = 1.531 Å, rel. 28
- 61.25 deg, d = 1.513 Å, rel. 27

***

[5]
Structure and theoretical powder diffraction line list of Cd2Ag3Au4 (a structure optimized by DFT (GGA-PBE); copper Kα).

Structure:
abc: 8.327 8.327 5.180
angles: 97.37 97.37 77.26
Atoms (fractional coordinates):
Cd1 0.135 0.319 0.033
Cd2 0.319 0.135 0.533
Cd3 0.681 0.865 0.467
Cd4 0.865 0.681 0.967
Ag1 0.035 0.965 0.250
Ag2 0.337 0.465 0.529
Ag3 0.465 0.337 0.029
Ag4 0.535 0.663 0.971
Ag5 0.663 0.535 0.471
Ag6 0.965 0.035 0.750
Au1 0.020 0.675 0.502
Au2 0.209 0.643 0.015
Au3 0.325 0.980 0.998
Au4 0.357 0.791 0.485
Au5 0.643 0.209 0.515
Au6 0.675 0.020 0.002
Au7 0.791 0.357 0.985
Au8 0.980 0.325 0.498

Largest 8 diffraction maxima, low angle first, 10 to 90 degrees two-theta:
- 33.27 deg, d = 2.693 Å, rel. 53
- 35.13 deg, d = 2.555 Å, rel. 92
- 36.05 deg, d = 2.491 Å, rel. 91
- 37.55 deg, d = 2.395 Å, rel. 66
- 39.40 deg, d = 2.287 Å, rel. 71
- 40.40 deg, d = 2.233 Å, rel. 100
- 42.46 deg, d = 2.129 Å, rel. 43
- 42.84 deg, d = 2.111 Å, rel. 46

***

[6]
Structure and theoretical powder diffraction line list of Cs2KTc2O7 (a structure optimized by DFT (GGA-PBE); copper Kα).

Structure:
abc: 12.505 12.505 12.505
angles: 161.80 161.80 25.85
Atoms (fractional coordinates):
Cs1 0.184 0.184 0.000
Cs2 0.816 0.816 0.000
K1 0.000 0.000 0.000
Tc1 0.419 0.419 0.000
Tc2 0.581 0.581 0.000
O1 0.080 0.580 0.500
O2 0.342 0.342 0.000
O3 0.420 0.920 0.500
O4 0.500 0.500 0.000
O5 0.580 0.080 0.500
O6 0.658 0.658 0.000
O7 0.920 0.420 0.500

Largest 8 diffraction maxima, low angle first, 10 to 90 degrees two-theta:
- 25.03 deg, d = 3.557 Å, rel. 32
- 29.07 deg, d = 3.072 Å, rel. 100
- 29.31 deg, d = 3.047 Å, rel. 19
- 31.99 deg, d = 2.797 Å, rel. 54
- 43.94 deg, d = 2.061 Å, rel. 15
- 45.87 deg, d = 1.978 Å, rel. 30
- 54.13 deg, d = 1.694 Å, rel. 16
- 55.23 deg, d = 1.663 Å, rel. 32

***

[7]
Structure and theoretical powder diffraction line list of LiPrGa2 (a structure optimized by DFT (GGA-PBE); copper Kα).

Structure:
abc: 5.840 5.840 5.840
angles: 43.85 43.85 43.85
Atoms (fractional coordinates):
Li1 0.000 0.000 0.000
Pr1 0.500 0.500 0.500
Ga1 0.291 0.291 0.291
Ga2 0.709 0.709 0.709

Largest 8 diffraction maxima, low angle first, 10 to 90 degrees two-theta:
- 24.23 deg, d = 3.674 Å, rel. 100
- 32.80 deg, d = 2.731 Å, rel. 74
- 37.08 deg, d = 2.424 Å, rel. 84
- 41.40 deg, d = 2.181 Å, rel. 69
- 53.80 deg, d = 1.704 Å, rel. 18
- 56.78 deg, d = 1.621 Å, rel. 24
- 68.61 deg, d = 1.368 Å, rel. 20
- 72.67 deg, d = 1.301 Å, rel. 23

***

[8]
Structure and theoretical powder diffraction line list of Sm3Cd2Pd6 (a structure optimized by DFT (GGA-PBE); copper Kα).

Structure:
abc: 8.475 8.475 8.475
angles: 109.47 109.47 109.47
Atoms (fractional coordinates):
Sm1 0.000 0.301 0.301
Sm2 0.000 0.699 0.699
Sm3 0.301 0.000 0.301
Sm4 0.301 0.301 0.000
Sm5 0.699 0.000 0.699
Sm6 0.699 0.699 0.000
Cd1 0.000 0.000 0.500
Cd2 0.000 0.500 0.000
Cd3 0.500 0.000 0.000
Cd4 0.500 0.500 0.500
Pd1 0.000 0.344 0.656
Pd2 0.000 0.656 0.344
Pd3 0.312 0.656 0.656
Pd4 0.344 0.000 0.656
Pd5 0.344 0.344 0.688
Pd6 0.344 0.656 0.000
Pd7 0.344 0.688 0.344
Pd8 0.656 0.000 0.344
Pd9 0.656 0.312 0.656
Pd10 0.656 0.344 0.000
Pd11 0.656 0.656 0.312
Pd12 0.688 0.344 0.344

Largest 8 diffraction maxima, low angle first, 10 to 90 degrees two-theta:
- 12.79 deg, d = 6.920 Å, rel. 20
- 28.85 deg, d = 3.095 Å, rel. 16
- 31.67 deg, d = 2.825 Å, rel. 26
- 34.29 deg, d = 2.615 Å, rel. 20
- 39.05 deg, d = 2.307 Å, rel. 100
- 41.26 deg, d = 2.188 Å, rel. 17
- 63.01 deg, d = 1.475 Å, rel. 12
- 70.74 deg, d = 1.332 Å, rel. 30